[1]
# Nd2CuHgO5
Calculated X-ray diffraction stick pattern, Cu Kα, 1.54184 Å. Input: a DFT-relaxed cell (PBE, Alexandria).
Neutral-atom scattering factors, no anomalous dispersion.

Crystal structure
Unit cell a=6.9094 b=6.9094 c=5.5243 alpha=90.00 beta=90.00 gamma=90.00
Positions (direct):
Nd 0.1771 0.3229 0.0000
Nd 0.3229 0.8229 0.0000
Nd 0.6771 0.1771 0.0000
Nd 0.8229 0.6771 0.0000
Cu 0.0000 0.5000 0.5000
Cu 0.5000 0.0000 0.5000
Hg 0.0000 0.0000 0.5000
Hg 0.5000 0.5000 0.5000
O 0.0000 0.0000 0.0000
O 0.1270 0.6270 0.2521
O 0.1270 0.6270 0.7479
O 0.3730 0.1270 0.2521
O 0.3730 0.1270 0.7479
O 0.5000 0.5000 0.0000
O 0.6270 0.8730 0.2521
O 0.6270 0.8730 0.7479
O 0.8730 0.3730 0.2521
O 0.8730 0.3730 0.7479

Principal peaks in the range 2θ = 10–90°, by angle:
2θ (°)  I/Imax
24.32  26.8
30.52  100.0
32.41  30.0
33.22  37.1
36.79  25.7
41.32  22.5
43.97  25.0
49.83  21.4



[2]
# CuNiHg
Calculated X-ray diffraction stick pattern, Cu Kα, 1.54184 Å. Input: a DFT-relaxed cell (PBE, Alexandria).
Neutral-atom scattering factors, no anomalous dispersion.

Crystal structure
Unit cell a=5.4779 b=3.9695 c=8.0923 alpha=90.00 beta=90.00 gamma=90.00
Positions (direct):
Cu 0.0886 0.2500 0.2397
Cu 0.4114 0.7500 0.7397
Cu 0.5886 0.2500 0.2603
Cu 0.9114 0.7500 0.7603
Ni 0.1312 0.2500 0.9194
Ni 0.3688 0.7500 0.4194
Ni 0.6312 0.2500 0.5806
Ni 0.8688 0.7500 0.0806
Hg 0.1513 0.2500 0.5902
Hg 0.3487 0.7500 0.0902
Hg 0.6513 0.2500 0.9098
Hg 0.8487 0.7500 0.4098

Principal peaks in the range 2θ = 10–90°, by angle:
2θ (°)  I/Imax
27.40  31.1
29.91  34.9
39.99  93.9
40.43  100.0
45.71  35.7
47.30  56.7
67.89  37.6
83.53  20.8



[3]
# CuHgOs2O8
Calculated X-ray diffraction stick pattern, Cu Kα, 1.54184 Å. Input: a DFT-relaxed cell (PBE, Alexandria).
Neutral-atom scattering factors, no anomalous dispersion.

Crystal structure
Unit cell a=6.7833 b=6.7833 c=7.7472 alpha=112.60 beta=112.60 gamma=48.93
Positions (direct):
Cu 0.0000 0.0000 0.0000
Hg 0.5000 0.5000 0.5000
Os 0.3119 0.3119 0.8404
Os 0.6881 0.6881 0.1596
O 0.1386 0.6477 0.8276
O 0.1674 0.1674 0.6640
O 0.3062 0.3062 0.0625
O 0.3523 0.8614 0.1724
O 0.6477 0.1386 0.8276
O 0.6938 0.6938 0.9375
O 0.8326 0.8326 0.3360
O 0.8614 0.3523 0.1724

Principal peaks in the range 2θ = 10–90°, by angle:
2θ (°)  I/Imax
17.66  48.6
23.55  81.1
23.65  81.8
24.16  47.5
26.98  100.0
31.86  35.2
40.00  30.7
43.53  29.3



[4]
# Sr8Pr4Cu9Hg3O24
Calculated X-ray diffraction stick pattern, Cu Kα, 1.54184 Å. Input: a DFT-relaxed cell (PBE, Alexandria).
Neutral-atom scattering factors, no anomalous dispersion.

Crystal structure
Unit cell a=8.7488 b=8.7488 c=12.9527 alpha=105.68 beta=105.68 gamma=53.19
Positions (direct):
Sr 0.0662 0.5792 0.2780
Sr 0.1766 0.6904 0.7221
Sr 0.3096 0.8234 0.2779
Sr 0.4208 0.9338 0.7220
Sr 0.5792 0.0662 0.2780
Sr 0.6904 0.1766 0.7221
Sr 0.8234 0.3096 0.2779
Sr 0.9338 0.4208 0.7220
Pr 0.0000 0.5000 0.0000
Pr 0.2512 0.7488 0.0000
Pr 0.5000 0.0000 0.0000
Pr 0.7488 0.2512 0.0000
Cu 0.0000 0.0000 0.5000
Cu 0.0923 0.0923 0.8697
Cu 0.1591 0.1591 0.1342
Cu 0.3418 0.3418 0.8653
Cu 0.4084 0.4084 0.1335
Cu 0.5916 0.5916 0.8665
Cu 0.6582 0.6582 0.1347
Cu 0.8409 0.8409 0.8658
Cu 0.9077 0.9077 0.1303
Hg 0.2466 0.2466 0.5000
Hg 0.5000 0.5000 0.5000
Hg 0.7534 0.7534 0.5000
O 0.0325 0.0325 0.1300
O 0.0370 0.0370 0.6489
O 0.0926 0.5924 0.8701
O 0.1569 0.6583 0.1301
O 0.2075 0.2075 0.3354
O 0.2173 0.2173 0.8699
O 0.2828 0.2828 0.1294
O 0.2898 0.2898 0.6646
O 0.3417 0.8431 0.8699
O 0.4076 0.9074 0.1299
O 0.4586 0.4586 0.3351
O 0.4680 0.4680 0.8705
O 0.5320 0.5320 0.1295
O 0.5414 0.5414 0.6649
O 0.5924 0.0926 0.8701
O 0.6583 0.1569 0.1301
O 0.7102 0.7102 0.3354
O 0.7172 0.7172 0.8706
O 0.7827 0.7827 0.1301
O 0.7925 0.7925 0.6646
O 0.8431 0.3417 0.8699
O 0.9074 0.4076 0.1299
O 0.9630 0.9630 0.3511
O 0.9675 0.9675 0.8700

Principal peaks in the range 2θ = 10–90°, by angle:
2θ (°)  I/Imax
23.85  36.7
26.97  17.0
31.54  100.0
32.35  71.8
37.09  19.9
43.95  25.9
46.40  38.1
57.19  37.0



[5]
# PuCuHgO4
Calculated X-ray diffraction stick pattern, Cu Kα, 1.54184 Å. Input: a DFT-relaxed cell (PBE, Alexandria).
Neutral-atom scattering factors, no anomalous dispersion.

Crystal structure
Unit cell a=6.8944 b=6.8944 c=6.8944 alpha=129.41 beta=120.57 gamma=81.75
Positions (direct):
Pu 0.0000 0.0000 0.0000
Pu 0.5000 0.0000 0.5000
Cu 0.5000 0.0000 0.0000
Cu 0.5000 0.5000 0.5000
Hg 0.0666 0.3166 0.7500
Hg 0.9334 0.6834 0.2500
O 0.2326 0.2065 0.4740
O 0.2326 0.7586 0.0260
O 0.2665 0.2107 0.0559
O 0.3452 0.7893 0.5559
O 0.6548 0.2107 0.4441
O 0.7335 0.7893 0.9441
O 0.7674 0.2414 0.9740
O 0.7674 0.7935 0.5260

Principal peaks in the range 2θ = 10–90°, by angle:
2θ (°)  I/Imax
17.29  59.0
26.29  37.0
29.85  94.4
31.30  73.6
31.46  100.0
34.24  45.7
44.15  38.2
53.80  41.0



[6]
# PuCu2HgO8
Calculated X-ray diffraction stick pattern, Cu Kα, 1.54184 Å. Input: a DFT-relaxed cell (PBE, Alexandria).
Neutral-atom scattering factors, no anomalous dispersion.

Crystal structure
Unit cell a=5.8735 b=5.8735 c=5.8735 alpha=110.81 beta=110.81 gamma=106.82
Positions (direct):
Pu 0.0000 0.0000 0.0000
Cu 0.2500 0.7500 0.5000
Cu 0.5000 0.5000 0.0000
Hg 0.7500 0.2500 0.5000
O 0.0612 0.3495 0.2883
O 0.0612 0.7728 0.7117
O 0.1223 0.2944 0.8278
O 0.2272 0.9388 0.2883
O 0.4666 0.2944 0.1722
O 0.6505 0.9388 0.7117
O 0.7056 0.5334 0.8278
O 0.7056 0.8777 0.1722

Principal peaks in the range 2θ = 10–90°, by angle:
2θ (°)  I/Imax
18.37  62.0
26.73  96.0
31.83  100.0
32.63  18.2
38.17  24.8
50.52  68.6
59.65  19.7
65.04  18.5